Er2Ga8Au: theoretical X-ray powder pattern (a wavelength of 1.5418 Å), based on a structure optimized by DFT (PBE).
Neutral-atom scattering factors, no anomalous dispersion.

Peak list (10 most intense, 10 to 90 degrees two-theta, in order of falling intensity)
- 37.81°, I = 100.0
- 41.32°, I = 45.8
- 20.32°, I = 32.3
- 73.01°, I = 28.4
- 31.54°, I = 21.1
- 59.86°, I = 15.1
- 65.84°, I = 12.7
- 52.89°, I = 10.2
- 33.12°, I = 8.3
- 46.46°, I = 7.8

a b c (Å): 4.3704 4.3704 11.1867
angles (deg): 90.00 90.00 90.00
Positions (direct):
Er (0.0000, 0.0000, 0.1865)
Er (0.0000, 0.0000, 0.8135)
Ga (0.0000, 0.5000, 0.0000)
Ga (0.0000, 0.5000, 0.3645)
Ga (0.0000, 0.5000, 0.6355)
Ga (0.5000, 0.0000, 0.0000)
Ga (0.5000, 0.0000, 0.3645)
Ga (0.5000, 0.0000, 0.6355)
Ga (0.5000, 0.5000, 0.1899)
Ga (0.5000, 0.5000, 0.8101)
Au (0.0000, 0.0000, 0.5000)

ErMgGa2Au2: theoretical X-ray powder pattern (a wavelength of 1.5418 Å), based on a structure optimized by DFT (PBE).
Neutral-atom scattering factors, no anomalous dispersion.

Peak list (10 most intense, 10 to 90 degrees two-theta, in order of falling intensity)
- 35.53°, I = 100.0
- 40.07°, I = 91.3
- 26.52°, I = 71.7
- 70.52°, I = 31.2
- 54.62°, I = 29.2
- 69.86°, I = 27.9
- 48.90°, I = 22.6
- 26.86°, I = 18.9
- 72.80°, I = 15.8
- 48.70°, I = 14.4

a b c (Å): 4.5002 4.5002 6.6375
angles (deg): 90.00 90.00 120.00
Positions (direct):
Er (0.0000, 0.0000, 0.0000)
Mg (0.0000, 0.0000, 0.5000)
Ga (0.3333, 0.6667, 0.7398)
Ga (0.6667, 0.3333, 0.2602)
Au (0.3333, 0.6667, 0.2660)
Au (0.6667, 0.3333, 0.7340)

ErMgGa2Au5: theoretical X-ray powder pattern (a wavelength of 1.5418 Å), based on a structure optimized by DFT (PBE).
Neutral-atom scattering factors, no anomalous dispersion.

Peak list (10 most intense, 10 to 90 degrees two-theta, in order of falling intensity)
- 35.31°, I = 100.0
- 41.79°, I = 66.2
- 72.07°, I = 25.8
- 58.80°, I = 17.4
- 36.05°, I = 15.8
- 60.54°, I = 15.3
- 22.74°, I = 13.7
- 19.42°, I = 10.5
- 39.42°, I = 9.3
- 56.33°, I = 8.8

a b c (Å): 4.3256 4.3256 9.1425
angles (deg): 90.00 90.00 90.00
Positions (direct):
Er (0.0000, 0.0000, 0.0000)
Mg (0.0000, 0.0000, 0.5000)
Ga (0.5000, 0.5000, 0.1309)
Ga (0.5000, 0.5000, 0.8691)
Au (0.0000, 0.5000, 0.2827)
Au (0.0000, 0.5000, 0.7173)
Au (0.5000, 0.0000, 0.2827)
Au (0.5000, 0.0000, 0.7173)
Au (0.5000, 0.5000, 0.5000)

LaErGeAu: theoretical X-ray powder pattern (a wavelength of 1.5418 Å), based on a structure optimized by DFT (PBE).
Neutral-atom scattering factors, no anomalous dispersion.

Peak list (10 most intense, 10 to 90 degrees two-theta, in order of falling intensity)
- 34.48°, I = 100.0
- 61.76°, I = 37.2
- 49.55°, I = 18.0
- 83.00°, I = 16.5
- 72.69°, I = 11.5
- 20.91°, I = 10.6
- 40.67°, I = 6.2
- 54.35°, I = 2.7
- 76.61°, I = 2.1
- 65.97°, I = 2.1

a b c (Å): 7.3581 7.3581 7.3581
angles (deg): 90.00 90.00 90.00
Positions (direct):
La (0.0000, 0.0000, 0.0000)
La (0.0000, 0.5000, 0.5000)
La (0.5000, 0.0000, 0.5000)
La (0.5000, 0.5000, 0.0000)
Er (0.0000, 0.0000, 0.5000)
Er (0.0000, 0.5000, 0.0000)
Er (0.5000, 0.0000, 0.0000)
Er (0.5000, 0.5000, 0.5000)
Ge (0.2500, 0.2500, 0.2500)
Ge (0.2500, 0.7500, 0.7500)
Ge (0.7500, 0.2500, 0.7500)
Ge (0.7500, 0.7500, 0.2500)
Au (0.2500, 0.2500, 0.7500)
Au (0.2500, 0.7500, 0.2500)
Au (0.7500, 0.2500, 0.2500)
Au (0.7500, 0.7500, 0.7500)

ErPu2Ge2Au2: theoretical X-ray powder pattern (a wavelength of 1.5418 Å), based on a structure optimized by DFT (PBE).
Neutral-atom scattering factors, no anomalous dispersion.

Peak list (10 most intense, 10 to 90 degrees two-theta, in order of falling intensity)
- 33.51°, I = 100.0
- 39.76°, I = 89.7
- 52.95°, I = 27.9
- 68.20°, I = 26.4
- 26.64°, I = 25.6
- 36.25°, I = 24.5
- 68.94°, I = 21.8
- 28.67°, I = 16.5
- 72.16°, I = 15.9
- 45.35°, I = 15.2

a b c (Å): 8.9128 8.9128 8.9128
angles (deg): 29.47 29.47 29.47
Positions (direct):
Er (0.0000, 0.0000, 0.0000)
Pu (0.1397, 0.1397, 0.1397)
Pu (0.8603, 0.8603, 0.8603)
Ge (0.2638, 0.2638, 0.2638)
Ge (0.7362, 0.7362, 0.7362)
Au (0.4104, 0.4104, 0.4104)
Au (0.5896, 0.5896, 0.5896)

SmErGeAu: theoretical X-ray powder pattern (a wavelength of 1.5418 Å), based on a structure optimized by DFT (PBE).
Neutral-atom scattering factors, no anomalous dispersion.

Peak list (10 most intense, 10 to 90 degrees two-theta, in order of falling intensity)
- 31.18°, I = 100.0
- 38.98°, I = 67.2
- 32.47°, I = 29.1
- 32.82°, I = 27.3
- 41.59°, I = 26.2
- 38.68°, I = 22.9
- 44.49°, I = 21.6
- 62.53°, I = 15.7
- 78.61°, I = 14.4
- 53.73°, I = 14.1

a b c (Å): 4.3430 4.0731 11.0299
angles (deg): 90.00 90.00 90.00
Positions (direct):
Sm (0.0000, 0.0000, 0.0000)
Sm (0.0000, 0.5000, 0.5000)
Er (0.5000, 0.0000, 0.7218)
Er (0.5000, 0.5000, 0.2218)
Ge (0.0000, 0.0000, 0.2712)
Ge (0.0000, 0.5000, 0.7712)
Au (0.5000, 0.0000, 0.4403)
Au (0.5000, 0.5000, 0.9403)

ErTmGeAu: theoretical X-ray powder pattern (a wavelength of 1.5418 Å), based on a structure optimized by DFT (PBE).
Neutral-atom scattering factors, no anomalous dispersion.

Peak list (10 most intense, 10 to 90 degrees two-theta, in order of falling intensity)
- 31.71°, I = 100.0
- 39.71°, I = 62.3
- 33.18°, I = 29.8
- 42.34°, I = 25.0
- 33.44°, I = 23.8
- 45.20°, I = 20.8
- 39.49°, I = 20.5
- 63.66°, I = 15.0
- 54.82°, I = 14.5
- 80.44°, I = 13.1

a b c (Å): 4.2690 4.0121 10.8014
angles (deg): 90.00 90.00 90.00
Positions (direct):
Er (0.0000, 0.0000, 0.0000)
Er (0.0000, 0.5000, 0.5000)
Tm (0.5000, 0.0000, 0.7213)
Tm (0.5000, 0.5000, 0.2213)
Ge (0.0000, 0.0000, 0.2736)
Ge (0.0000, 0.5000, 0.7736)
Au (0.5000, 0.0000, 0.4460)
Au (0.5000, 0.5000, 0.9460)

Er4HAu2: theoretical X-ray powder pattern (a wavelength of 1.5418 Å), based on a structure optimized by DFT (PBE).
Neutral-atom scattering factors, no anomalous dispersion.

Peak list (10 most intense, 10 to 90 degrees two-theta, in order of falling intensity)
- 36.69°, I = 100.0
- 29.78°, I = 81.5
- 38.74°, I = 72.2
- 36.17°, I = 47.3
- 68.79°, I = 37.1
- 54.03°, I = 30.2
- 27.13°, I = 25.8
- 55.94°, I = 25.0
- 64.67°, I = 22.9
- 54.43°, I = 18.9

a b c (Å): 4.6491 4.6491 14.6888
angles (deg): 90.00 90.00 90.00
Positions (direct):
Er (0.0000, 0.0000, 0.1838)
Er (0.0000, 0.0000, 0.8162)
Er (0.0000, 0.5000, 0.0000)
Er (0.0000, 0.5000, 0.5000)
Er (0.5000, 0.0000, 0.0000)
Er (0.5000, 0.0000, 0.5000)
Er (0.5000, 0.5000, 0.3162)
Er (0.5000, 0.5000, 0.6838)
H (0.0000, 0.0000, 0.0000)
H (0.5000, 0.5000, 0.5000)
Au (0.0000, 0.0000, 0.3730)
Au (0.0000, 0.0000, 0.6270)
Au (0.5000, 0.5000, 0.1270)
Au (0.5000, 0.5000, 0.8730)

Er2HgAu: theoretical X-ray powder pattern (a wavelength of 1.5418 Å), based on a structure optimized by DFT (PBE).
Neutral-atom scattering factors, no anomalous dispersion.

Peak list (10 most intense, 10 to 90 degrees two-theta, in order of falling intensity)
- 34.99°, I = 100.0
- 34.90°, I = 49.9
- 62.65°, I = 36.4
- 62.82°, I = 18.5
- 50.19°, I = 17.7
- 84.25°, I = 15.8
- 73.92°, I = 11.4
- 50.46°, I = 9.0
- 84.69°, I = 8.4
- 73.76°, I = 3.0

a b c (Å): 5.1382 3.6175 10.2893
angles (deg): 90.00 90.00 90.00
Positions (direct):
Er (0.2500, 0.0000, 0.1178)
Er (0.2500, 0.0000, 0.6369)
Er (0.7500, 0.0000, 0.3631)
Er (0.7500, 0.0000, 0.8822)
Hg (0.2500, 0.5000, 0.3819)
Hg (0.7500, 0.5000, 0.6181)
Au (0.2500, 0.5000, 0.8752)
Au (0.7500, 0.5000, 0.1248)

HoEr2Au6: theoretical X-ray powder pattern (a wavelength of 1.5418 Å), based on a structure optimized by DFT (PBE).
Neutral-atom scattering factors, no anomalous dispersion.

Peak list (10 most intense, 10 to 90 degrees two-theta, in order of falling intensity)
- 38.43°, I = 100.0
- 33.56°, I = 71.8
- 34.55°, I = 59.3
- 36.16°, I = 51.3
- 41.25°, I = 37.5
- 44.56°, I = 28.1
- 63.26°, I = 23.5
- 63.79°, I = 22.8
- 53.03°, I = 18.6
- 58.02°, I = 12.6

a b c (Å): 8.4264 8.4264 5.2134
angles (deg): 98.78 98.78 143.86
Positions (direct):
Ho (0.0000, 0.0000, 0.0000)
Er (0.3346, 0.6654, 0.5000)
Er (0.6654, 0.3346, 0.5000)
Au (0.0025, 0.6701, 0.1678)
Au (0.3299, 0.9975, 0.8322)
Au (0.3436, 0.3436, 0.6719)
Au (0.6564, 0.6564, 0.3281)
Au (0.6701, 0.0025, 0.1678)
Au (0.9975, 0.3299, 0.8322)

HoErAu: theoretical X-ray powder pattern (a wavelength of 1.5418 Å), based on a structure optimized by DFT (PBE).
Neutral-atom scattering factors, no anomalous dispersion.

Peak list (10 most intense, 10 to 90 degrees two-theta, in order of falling intensity)
- 36.15°, I = 100.0
- 35.02°, I = 92.6
- 64.28°, I = 32.2
- 51.21°, I = 31.8
- 65.01°, I = 18.3
- 26.15°, I = 17.3
- 21.02°, I = 14.9
- 87.19°, I = 14.6
- 43.81°, I = 12.4
- 76.70°, I = 11.7

a b c (Å): 7.9753 7.9753 7.9753
angles (deg): 36.31 36.31 36.31
Positions (direct):
Ho (0.0000, 0.0000, 0.0000)
Ho (0.1628, 0.1628, 0.1628)
Er (0.4198, 0.4198, 0.4198)
Er (0.5828, 0.5828, 0.5828)
Au (0.7160, 0.7160, 0.7160)
Au (0.8672, 0.8672, 0.8672)

HoErAu4: theoretical X-ray powder pattern (a wavelength of 1.5418 Å), based on a structure optimized by DFT (PBE).
Neutral-atom scattering factors, no anomalous dispersion.

Peak list (10 most intense, 10 to 90 degrees two-theta, in order of falling intensity)
- 38.41°, I = 100.0
- 34.03°, I = 69.3
- 63.80°, I = 34.4
- 72.22°, I = 16.0
- 48.82°, I = 12.7
- 48.95°, I = 12.6
- 82.29°, I = 11.5
- 63.91°, I = 11.4
- 61.54°, I = 6.4
- 81.72°, I = 5.9

a b c (Å): 5.2756 9.0416 5.2640
angles (deg): 90.00 90.14 90.00
Positions (direct):
Ho (0.0000, 0.0000, 0.0000)
Ho (0.5000, 0.5000, 0.0000)
Er (0.0000, 0.5000, 0.5000)
Er (0.5000, 0.0000, 0.5000)
Au (0.0000, 0.1647, 0.5000)
Au (0.0000, 0.3358, 0.0000)
Au (0.0000, 0.6642, 0.0000)
Au (0.0000, 0.8353, 0.5000)
Au (0.5000, 0.1642, 0.0000)
Au (0.5000, 0.3353, 0.5000)
Au (0.5000, 0.6647, 0.5000)
Au (0.5000, 0.8358, 0.0000)